Diffraction record for MgFe4O4F4. The XRD peak list is computed, not measured: it uses a DFT-relaxed cell (PBE+U, the Materials Project) and Cu Kα (λ = 1.5418 Å).
Kinematic intensities with the Lorentz-polarization factor, no thermal factor.

The 10 most intense peaks (2θ from 10° to 90°), sorted by position:
(0 1 0), 2θ 16.20, d = 5.471 Å, intensity 39; (0 1 -1), 2θ 18.81, d = 4.718 Å, intensity 43; (0 0 2), 2θ 19.34, d = 4.590 Å, intensity 77; (0 1 2), 2θ 25.43, d = 3.502 Å, intensity 55; (-1 1 1), 2θ 31.56, d = 2.835 Å, intensity 100; (1 1 0), 2θ 31.76, d = 2.817 Å, intensity 98; (0 2 -1), 2θ 34.12, d = 2.628 Å, intensity 53; (1 0 -3), 2θ 36.26, d = 2.477 Å, intensity 49; (0 1 -4), 2θ 42.59, d = 2.123 Å, intensity 50; (2 0 -1), 2θ 54.69, d = 1.678 Å, intensity 46

Structural model:
```
MgFe4O4F4
1.0
3.356 0.000 0.000
-0.040 5.471 0.000
-1.660 -0.078 9.181
Mg Fe O F
1 4 4 4
Direct
0.000 0.000 0.000
0.153 0.650 0.326
0.318 0.844 0.653
0.514 0.502 0.043
0.755 0.311 0.531
0.045 0.698 0.120
0.278 0.530 0.572
0.655 0.484 0.333
0.822 0.011 0.659
0.203 0.974 0.422
0.426 0.825 0.877
0.552 0.128 0.097
0.977 0.335 0.917
```

Diffraction record for MgFe12O12F12. The XRD peak list is computed, not measured: it uses a DFT-relaxed cell (PBE+U, the Materials Project) and Cu Kα (λ = 1.5418 Å).
Kinematic intensities with the Lorentz-polarization factor, no thermal factor.

The 10 most intense peaks (2θ from 10° to 90°), sorted by position:
(0 2 -3), 2θ 25.85, d = 3.447 Å, intensity 95; (0 2 3), 2θ 26.10, d = 3.414 Å, intensity 100; (1 0 -3), 2θ 34.42, d = 2.606 Å, intensity 55; (1 2 0), 2θ 34.51, d = 2.599 Å, intensity 58; (1 2 -3), 2θ 39.20, d = 2.298 Å, intensity 21; (1 -2 6), 2θ 51.26, d = 1.782 Å, intensity 21; (1 -4 3), 2θ 51.47, d = 1.776 Å, intensity 34; (1 2 6), 2θ 51.54, d = 1.773 Å, intensity 25; (1 4 3), 2θ 51.75, d = 1.767 Å, intensity 35; (2 0 0), 2θ 60.01, d = 1.542 Å, intensity 21

Structural model:
```
MgFe12O12F12
1.0
3.083 0.000 0.000
-0.002 9.658 0.000
-0.007 -0.139 14.623
Mg Fe O F
1 12 12 12
Direct
0.000 0.000 0.000
0.489 0.512 0.183
0.493 0.520 0.509
0.494 0.002 0.176
0.494 0.501 0.807
0.494 0.991 0.532
0.498 0.024 0.823
0.988 0.268 0.001
0.991 0.721 0.024
0.991 0.725 0.346
0.992 0.241 0.354
0.994 0.737 0.667
0.995 0.244 0.670
0.491 0.647 0.279
0.492 0.857 0.060
0.493 0.643 0.614
0.495 0.155 0.604
0.495 0.348 0.728
0.497 0.117 0.949
0.989 0.591 0.118
0.992 0.599 0.445
0.994 0.092 0.120
0.994 0.611 0.778
0.994 0.891 0.576
0.997 0.102 0.772
0.487 0.356 0.082
0.490 0.638 0.953
0.492 0.135 0.282
0.492 0.353 0.412
0.492 0.846 0.401
0.494 0.852 0.739
0.987 0.406 0.898
0.989 0.394 0.243
0.992 0.894 0.240
0.993 0.081 0.444
0.993 0.402 0.564
0.993 0.883 0.894
```

Diffraction record for MgFe4O4F4. The XRD peak list is computed, not measured: it uses a DFT-relaxed cell (PBE+U, the Materials Project) and Cu Kα (λ = 1.5418 Å).
Kinematic intensities with the Lorentz-polarization factor, no thermal factor.

The 10 most intense peaks (2θ from 10° to 90°), sorted by position:
(0 1 0), 2θ 16.55, d = 5.355 Å, intensity 29; (1 0 0), 2θ 17.42, d = 5.090 Å, intensity 17; (1 1 0), 2θ 22.16, d = 4.011 Å, intensity 100; (1 -1 0), 2θ 25.94, d = 3.435 Å, intensity 57; (0 1 2), 2θ 34.01, d = 2.636 Å, intensity 44; (1 0 2), 2θ 34.18, d = 2.623 Å, intensity 17; (1 0 -2), 2θ 34.74, d = 2.582 Å, intensity 17; (1 2 0), 2θ 35.39, d = 2.536 Å, intensity 26; (2 1 0), 2θ 36.69, d = 2.450 Å, intensity 18; (2 2 0), 2θ 45.20, d = 2.006 Å, intensity 18

Structural model:
```
MgFe4O4F4
1.0
5.153 0.000 0.000
0.836 5.355 0.000
0.111 0.008 6.056
Mg Fe O F
1 4 4 4
Direct
0.000 0.000 0.000
0.476 0.127 0.010
0.567 0.024 0.512
0.927 0.480 0.264
0.938 0.480 0.738
0.148 0.336 0.002
0.713 0.171 0.243
0.717 0.174 0.769
0.774 0.704 0.505
0.229 0.293 0.500
0.295 0.897 0.213
0.306 0.905 0.778
0.780 0.737 0.002
```

Diffraction record for MgFe10O16F4. The XRD peak list is computed, not measured: it uses a DFT-relaxed cell (PBE+U, the Materials Project) and Cu Kα (λ = 1.5418 Å).
Kinematic intensities with the Lorentz-polarization factor, no thermal factor.

The 10 most intense peaks (2θ from 10° to 90°), sorted by position:
(-1 1 1), 2θ 25.20, d = 3.534 Å, intensity 100; (1 1 1), 2θ 26.43, d = 3.372 Å, intensity 91; (1 -1 4), 2θ 35.40, d = 2.536 Å, intensity 69; (0 0 5), 2θ 35.68, d = 2.516 Å, intensity 21; (2 -2 3), 2θ 51.16, d = 1.786 Å, intensity 16; (2 0 -5), 2θ 51.33, d = 1.780 Å, intensity 25; (-2 2 2), 2θ 51.73, d = 1.767 Å, intensity 23; (2 2 -3), 2θ 52.49, d = 1.743 Å, intensity 17; (2 0 5), 2θ 52.74, d = 1.736 Å, intensity 16; (3 -1 4), 2θ 65.12, d = 1.432 Å, intensity 17

Structural model:
```
MgFe10O16F4
1.0
4.916 0.000 0.000
-0.227 5.704 0.000
-0.233 -2.091 12.582
Mg Fe O F
1 10 16 4
Direct
0.000 0.000 0.000
0.004 0.631 0.770
0.012 0.874 0.588
0.028 0.081 0.391
0.471 0.178 0.798
0.472 0.401 0.594
0.482 0.618 0.396
0.505 0.029 0.003
0.515 0.834 0.201
0.927 0.497 0.992
0.954 0.355 0.219
0.181 0.144 0.533
0.184 0.922 0.728
0.192 0.357 0.341
0.265 0.215 0.937
0.292 0.034 0.119
0.293 0.420 0.729
0.301 0.856 0.331
0.305 0.650 0.528
0.673 0.571 0.264
0.694 0.973 0.879
0.714 0.780 0.055
0.779 0.438 0.851
0.789 0.267 0.071
0.790 0.636 0.644
0.810 0.850 0.456
0.811 0.063 0.264
0.185 0.562 0.131
0.190 0.723 0.928
0.674 0.348 0.456
0.678 0.139 0.656
```